(1)
Structure and calculated PXRD pattern of BaAlF5 (a structure optimized by DFT (PBE); copper Kα).
Intensities are scaled so that the largest is 100.

Structural model:
Cell lengths 5.3191, 9.9459, 7.4807 Å; angles 90.00, 90.95, 90.00 degrees
Fractional positions:
Ba  0.0123  0.0000  0.3877
Ba  0.4830  0.3478  0.1390
Ba  0.5170  0.8478  0.8610
Ba  0.9877  0.5000  0.6123
Al  0.0207  0.6288  0.0763
Al  0.4721  0.2301  0.6279
Al  0.5279  0.7301  0.3721
Al  0.9793  0.1288  0.9237
F  0.0162  0.7574  0.9068
F  0.0538  0.5124  0.2572
F  0.1933  0.2408  0.7898
F  0.2302  0.5311  0.9395
F  0.2465  0.0484  0.0287
F  0.2493  0.2473  0.4433
F  0.2739  0.7289  0.5288
F  0.3051  0.7227  0.1740
F  0.4340  0.0524  0.6344
F  0.4897  0.4088  0.6559
F  0.5103  0.9088  0.3441
F  0.5660  0.5524  0.3656
F  0.6949  0.2227  0.8260
F  0.7261  0.2289  0.4712
F  0.7507  0.7473  0.5567
F  0.7535  0.5484  0.9713
F  0.7698  0.0311  0.0605
F  0.8067  0.7408  0.2102
F  0.9462  0.0124  0.7428
F  0.9838  0.2574  0.0932

Top 10 peaks for 10 to 80 degrees two-theta, by angle:
2θ (°)	d (Å)	I/Imax
22.22	4.000	46
24.51	3.632	100
25.45	3.501	83
27.42	3.253	30
29.47	3.031	42
33.71	2.659	29
39.97	2.255	61
40.48	2.228	57
42.36	2.134	38
43.04	2.102	31

***

(2)
Structure and calculated PXRD pattern of Ba3AlF9 (a structure optimized by DFT (PBE); copper Kα).
Intensities are scaled so that the largest is 100.

Structural model:
Cell lengths 10.2350, 5.6400, 15.0817 Å; angles 90.00, 90.00, 90.00 degrees
Fractional positions:
Ba  0.0536  0.2500  0.1008
Ba  0.1694  0.2500  0.5398
Ba  0.2349  0.7500  0.3193
Ba  0.2651  0.2500  0.8193
Ba  0.3306  0.7500  0.0398
Ba  0.4464  0.7500  0.6008
Ba  0.5536  0.2500  0.3992
Ba  0.6694  0.2500  0.9602
Ba  0.7349  0.7500  0.1807
Ba  0.7651  0.2500  0.6807
Ba  0.8306  0.7500  0.4602
Ba  0.9464  0.7500  0.8992
Al  0.0235  0.7500  0.6702
Al  0.4765  0.2500  0.1702
Al  0.5235  0.7500  0.8298
Al  0.9765  0.2500  0.3298
F  0.0435  0.0180  0.4051
F  0.0435  0.4820  0.4051
F  0.0828  0.5212  0.7435
F  0.0828  0.9788  0.7435
F  0.1351  0.2500  0.2737
F  0.1459  0.7500  0.1521
F  0.1488  0.0033  0.9562
F  0.1488  0.4967  0.9562
F  0.1728  0.7500  0.6027
F  0.3272  0.2500  0.1027
F  0.3512  0.5033  0.4562
F  0.3512  0.9967  0.4562
F  0.3541  0.2500  0.6521
F  0.3649  0.7500  0.7737
F  0.4172  0.0212  0.2435
F  0.4172  0.4788  0.2435
F  0.4565  0.5180  0.9051
F  0.4565  0.9820  0.9051
F  0.5435  0.0180  0.0949
F  0.5435  0.4820  0.0949
F  0.5828  0.5212  0.7565
F  0.5828  0.9788  0.7565
F  0.6351  0.2500  0.2263
F  0.6459  0.7500  0.3479
F  0.6488  0.0033  0.5438
F  0.6488  0.4967  0.5438
F  0.6728  0.7500  0.8973
F  0.8272  0.2500  0.3973
F  0.8512  0.5033  0.0438
F  0.8512  0.9967  0.0438
F  0.8541  0.2500  0.8479
F  0.8649  0.7500  0.7263
F  0.9172  0.0212  0.2565
F  0.9172  0.4788  0.2565
F  0.9565  0.5180  0.5949
F  0.9565  0.9820  0.5949

Top 10 peaks for 10 to 80 degrees two-theta, by angle:
2θ (°)	d (Å)	I/Imax
21.51	4.132	30
24.21	3.676	100
25.17	3.538	44
25.28	3.523	85
26.32	3.386	29
31.73	2.820	36
39.52	2.280	29
40.92	2.205	44
42.00	2.151	30
45.04	2.013	32

***

(3)
Structure and calculated PXRD pattern of BaAlF5 (a structure optimized by DFT (PBE); copper Kα).
Intensities are scaled so that the largest is 100.

Structural model:
Cell lengths 5.0846, 5.6817, 13.9335 Å; angles 90.00, 90.00, 90.00 degrees
Fractional positions:
Ba  0.2343  0.1605  0.3460
Ba  0.2657  0.8395  0.8460
Ba  0.7343  0.3395  0.6540
Ba  0.7657  0.6605  0.1540
Al  0.1929  0.1574  0.0866
Al  0.3071  0.8426  0.5866
Al  0.6929  0.3426  0.9134
Al  0.8071  0.6574  0.4134
F  0.0358  0.8309  0.4952
F  0.0722  0.6463  0.3247
F  0.0800  0.8938  0.0289
F  0.1079  0.0136  0.6690
F  0.2036  0.5706  0.6402
F  0.2964  0.4294  0.1402
F  0.3921  0.9864  0.1690
F  0.4200  0.1062  0.5289
F  0.4278  0.3537  0.8247
F  0.4642  0.1691  0.9952
F  0.5358  0.6691  0.5048
F  0.5722  0.8537  0.6753
F  0.5800  0.6062  0.9711
F  0.6079  0.4864  0.3310
F  0.7036  0.9294  0.3598
F  0.7964  0.0706  0.8598
F  0.8921  0.5136  0.8310
F  0.9200  0.3938  0.4711
F  0.9278  0.1463  0.1753
F  0.9642  0.3309  0.0048

Top 10 peaks for 10 to 80 degrees two-theta, by angle:
2θ (°)	d (Å)	I/Imax
21.64	4.107	34
23.48	3.789	38
24.34	3.656	100
24.76	3.596	40
25.57	3.483	28
31.12	2.874	29
32.16	2.784	29
40.17	2.245	31
41.27	2.188	42
43.60	2.076	21

***

Question: What is the formula in the first record?
Answer: BaAlF5

***

What did the second record say?
Structure and calculated PXRD pattern of Ba3AlF9 (a structure optimized by DFT (PBE); copper Kα).
Intensities are scaled so that the largest is 100.

Structural model:
Cell lengths 10.2350, 5.6400, 15.0817 Å; angles 90.00, 90.00, 90.00 degrees
Fractional positions:
Ba  0.0536  0.2500  0.1008
Ba  0.1694  0.2500  0.5398
Ba  0.2349  0.7500  0.3193
Ba  0.2651  0.2500  0.8193
Ba  0.3306  0.7500  0.0398
Ba  0.4464  0.7500  0.6008
Ba  0.5536  0.2500  0.3992
Ba  0.6694  0.2500  0.9602
Ba  0.7349  0.7500  0.1807
Ba  0.7651  0.2500  0.6807
Ba  0.8306  0.7500  0.4602
Ba  0.9464  0.7500  0.8992
Al  0.0235  0.7500  0.6702
Al  0.4765  0.2500  0.1702
Al  0.5235  0.7500  0.8298
Al  0.9765  0.2500  0.3298
F  0.0435  0.0180  0.4051
F  0.0435  0.4820  0.4051
F  0.0828  0.5212  0.7435
F  0.0828  0.9788  0.7435
F  0.1351  0.2500  0.2737
F  0.1459  0.7500  0.1521
F  0.1488  0.0033  0.9562
F  0.1488  0.4967  0.9562
F  0.1728  0.7500  0.6027
F  0.3272  0.2500  0.1027
F  0.3512  0.5033  0.4562
F  0.3512  0.9967  0.4562
F  0.3541  0.2500  0.6521
F  0.3649  0.7500  0.7737
F  0.4172  0.0212  0.2435
F  0.4172  0.4788  0.2435
F  0.4565  0.5180  0.9051
F  0.4565  0.9820  0.9051
F  0.5435  0.0180  0.0949
F  0.5435  0.4820  0.0949
F  0.5828  0.5212  0.7565
F  0.5828  0.9788  0.7565
F  0.6351  0.2500  0.2263
F  0.6459  0.7500  0.3479
F  0.6488  0.0033  0.5438
F  0.6488  0.4967  0.5438
F  0.6728  0.7500  0.8973
F  0.8272  0.2500  0.3973
F  0.8512  0.5033  0.0438
F  0.8512  0.9967  0.0438
F  0.8541  0.2500  0.8479
F  0.8649  0.7500  0.7263
F  0.9172  0.0212  0.2565
F  0.9172  0.4788  0.2565
F  0.9565  0.5180  0.5949
F  0.9565  0.9820  0.5949

Top 10 peaks for 10 to 80 degrees two-theta, by angle:
2θ (°)	d (Å)	I/Imax
21.51	4.132	30
24.21	3.676	100
25.17	3.538	44
25.28	3.523	85
26.32	3.386	29
31.73	2.820	36
39.52	2.280	29
40.92	2.205	44
42.00	2.151	30
45.04	2.013	32

***

Question: Which formula does entry 3 have?
Answer: BaAlF5